Simulated PXRD pattern
Compound: CoPtSO
Radiation: Cu Kα, 1.54184 Å
Structure: the GGA+U geometry in OQMD
Peak positions follow from Bragg's law for the DFT cell and can differ from measured ones.

Top 10 peaks for 2θ from 5° to 70°, low angle first:
| 2θ/deg | I_rel |
| --- | --- |
| 19.89 | 44 |
| 23.56 | 45 |
| 25.18 | 25 |
| 31.02 | 57 |
| 32.29 | 52 |
| 34.75 | 100 |
| 40.37 | 42 |
| 48.20 | 32 |
| 59.20 | 25 |
| 61.51 | 24 |

Structure:
Cell: 7.0746 8.9292 7.5528 Å, 90.00 90.00 90.00°
Space group Pbca (No. 61)
One atom of each set of equivalent atoms:
Co 0.2350 0.0830 0.0114
Pt 0.0101 0.2174 0.7576
S 0.0874 0.0268 0.2850
O 0.2407 0.7171 0.6065